(1)
Zr2AlW: computed powder X-ray diffraction pattern (Cu Kα (λ = 1.5418 Å)), based on a DFT-relaxed cell (GGA-PBE, Alexandria).

Structure:
Cell: 5.508 5.508 5.508 Å, 141.29 131.47 63.73°
Fractional coordinates of all 4 atoms:
Zr: 0.000 0.000 0.000
Zr: 0.738 0.238 0.500
Al: 0.268 0.768 0.500
W: 0.491 0.491 0.000

Top 10 peaks for 15° ≤ 2θ ≤ 90°, by angle:
2θ = 19.0°, I = 20
2θ = 21.8°, I = 15
2θ = 31.5°, I = 12
2θ = 37.0°, I = 100
2θ = 38.5°, I = 22
2θ = 39.8°, I = 21
2θ = 50.0°, I = 11
2θ = 56.6°, I = 14
2θ = 68.7°, I = 15
2θ = 70.5°, I = 15



(2)
YAl5: computed powder X-ray diffraction pattern (Cu Kα (λ = 1.5418 Å)), based on a DFT-relaxed cell (GGA-PBE, Alexandria).

Structure:
Cell: 5.710 5.710 5.710 Å, 134.93 115.68 81.97°
Fractional coordinates of all 6 atoms:
Y: 0.000 0.000 0.000
Al: 0.106 0.337 0.769
Al: 0.432 0.663 0.769
Al: 0.500 0.000 0.500
Al: 0.568 0.337 0.231
Al: 0.894 0.663 0.231

Top 10 peaks for 15° ≤ 2θ ≤ 90°, by angle:
2θ = 17.9°, I = 19
2θ = 22.8°, I = 13
2θ = 25.1°, I = 16
2θ = 36.2°, I = 28
2θ = 37.5°, I = 100
2θ = 41.3°, I = 18
2θ = 52.0°, I = 11
2θ = 56.0°, I = 15
2θ = 72.7°, I = 14
2θ = 73.8°, I = 11